Starting from a structure optimized by DFT (PBE), the powder diffractogram of SnBi4PbSe8 was simulated for Cu Kα.
Peak positions follow from Bragg's law for the DFT cell and can differ from measured ones.

Atomic structure:
Lattice parameters (Å, degrees): 8.5813 8.5813 22.3650 90.00 90.00 120.00
Space group R3m (No. 160, hexagonal axes)
Asymmetric unit:
Sn1 0.0000 0.0000 0.0000 x3
Bi1 0.0000 0.0000 0.2488 x3
Bi2 0.1692 0.3384 0.4565 x9
Pb1 0.0000 0.0000 0.6262 x3
Se1 0.0000 0.0000 0.3826 x3
Se2 0.0000 0.0000 0.8623 x3
Se3 0.0151 0.5075 0.3816 x9
Se4 0.1745 0.3489 0.2021 x9

Top 10 peaks for 2θ from 5° to 70°, in order of rising 2θ:
3.832 Å, 23.21°, intensity 54, hkl 0 1 5
3.719 Å, 23.93°, intensity 100, hkl 1 1 3
3.666 Å, 24.28°, intensity 46, hkl 0 2 1
3.095 Å, 28.85°, intensity 99, hkl 0 2 4
2.423 Å, 37.11°, intensity 29, hkl 0 2 7
2.379 Å, 37.82°, intensity 41, hkl 1 2 5
2.351 Å, 38.29°, intensity 31, hkl 0 3 3
2.234 Å, 40.37°, intensity 97, hkl 2 0 8
2.145 Å, 42.12°, intensity 91, hkl 2 2 0
1.547 Å, 59.76°, intensity 31, hkl 0 4 8

---

Starting from a structure optimized by DFT (PBE), the powder diffractogram of Sm5Bi2Pb was simulated for Cu Kα.
Peak positions follow from Bragg's law for the DFT cell and can differ from measured ones.

Atomic structure:
Lattice parameters (Å, degrees): 8.2985 8.2985 7.0980 90.00 90.00 90.00
Space group I4mm (No. 107)
Asymmetric unit:
Sm1 0.0000 0.0000 0.0000 x2
Sm2 0.2501 0.2501 0.2495 x8
Bi1 0.0000 0.5000 0.9998 x4
Pb1 0.0000 0.0000 0.4990 x2

Top 10 peaks for 2θ from 5° to 70°, in order of rising 2θ:
4.149 Å, 21.42°, intensity 2, hkl 2 0 0
2.934 Å, 30.47°, intensity 63, hkl 2 2 0
2.697 Å, 33.22°, intensity 100, hkl 2 0 2
2.261 Å, 39.87°, intensity 1, hkl 2 2 2
2.075 Å, 43.63°, intensity 24, hkl 4 0 0
1.774 Å, 51.50°, intensity 7, hkl 0 0 4
1.644 Å, 55.91°, intensity 46, hkl 4 2 2
1.518 Å, 61.02°, intensity 18, hkl 2 2 4
1.467 Å, 63.41°, intensity 8, hkl 4 4 0
1.349 Å, 69.74°, intensity 12, hkl 4 0 4